[1]
Calculated powder XRD pattern of Bi6O5F8 for Cu Kα X-rays, from a DFT-relaxed cell (GGA-PBE, the Materials Project).
Lines closer than 0.1° are merged.

Top 8 peaks for 2θ = 5–70°, in order of rising 2θ:
2θ/deg, I (rel.)
25.96, 100
26.80, 50
26.97, 50
29.96, 28
30.67, 20
31.19, 24
43.96, 17
44.26, 16

Structure:
```
19
Lattice="4.126 0.000 0.000 0.229 5.833 0.000 0.503 0.435 12.449" Properties=species:S:1:pos:R:3 pbc="T T T"
Bi 0.000 0.000 0.000
Bi 0.381 0.474 8.539
Bi 2.172 2.752 6.049
Bi 2.142 2.489 2.008
Bi 2.618 2.971 10.435
Bi 4.473 5.866 3.919
O 0.559 1.716 10.466
O 2.109 1.211 3.918
O 2.122 1.199 0.062
O 2.635 1.883 8.343
O 4.201 1.352 2.023
F 0.933 4.661 10.584
F 1.862 4.724 6.957
F 2.128 4.145 4.065
F 2.477 4.122 0.011
F 3.046 4.983 9.163
F 4.145 3.637 5.574
F 4.221 1.102 6.149
F 4.335 4.378 2.105
```

[2]
Calculated powder XRD pattern of Nd12InCo6 for Cu Kα X-rays, from a DFT-relaxed cell (GGA-PBE, the Materials Project).
Lines closer than 0.1° are merged.

Top 8 peaks for 2θ = 5–70°, in order of rising 2θ:
2θ/deg, I (rel.)
28.19, 46
30.95, 49
33.50, 100
35.89, 17
46.25, 25
53.37, 37
56.69, 36
66.00, 19

Structure:
```
19
Lattice="-5.004 5.004 5.004 5.004 -5.004 5.004 5.004 5.004 -5.004" Properties=species:S:1:pos:R:3 pbc="T T T"
Nd 5.004 -1.942 3.091
Nd 3.063 1.913 0.000
Nd 6.946 1.913 0.000
Nd 3.091 5.004 -1.942
Nd 1.913 0.000 3.063
Nd 0.000 3.063 1.913
Nd 5.004 1.942 3.091
Nd 3.091 5.004 1.942
Nd 1.913 0.000 6.946
Nd -1.942 3.091 5.004
Nd 1.942 3.091 5.004
Nd 0.000 6.946 1.913
In 0.000 0.000 0.000
Co 5.004 0.000 1.119
Co 5.004 3.886 0.000
Co 1.119 5.004 0.000
Co 3.886 0.000 5.004
Co 0.000 1.119 5.004
Co 0.000 5.004 3.886
```

[3]
Calculated powder XRD pattern of Cu3NiPbSe4 for Cu Kα X-rays, from a DFT-relaxed cell (GGA-PBE, the Materials Project).
Lines closer than 0.1° are merged.

Top 8 peaks for 2θ = 5–70°, in order of rising 2θ:
2θ/deg, I (rel.)
21.25, 45
26.10, 95
37.25, 23
43.28, 100
51.24, 42
58.40, 15
62.87, 15
69.26, 15

Structure:
```
9
Lattice="5.913 0.000 0.000 0.000 5.913 0.000 0.000 0.000 5.913" Properties=species:S:1:pos:R:3 pbc="T T T"
Cu 0.000 0.000 2.956
Cu 0.000 2.956 0.000
Cu 2.956 0.000 0.000
Ni 0.000 0.000 0.000
Pb 2.956 2.956 2.956
Se 1.347 1.347 1.347
Se 1.347 4.566 4.566
Se 4.566 1.347 4.566
Se 4.566 4.566 1.347
```

[4]
Calculated powder XRD pattern of ErB2Ru for Cu Kα X-rays, from a DFT-relaxed cell (GGA-PBE, the Materials Project).
Lines closer than 0.1° are merged.

Top 8 peaks for 2θ = 5–70°, in order of rising 2θ:
2θ/deg, I (rel.)
28.20, 22
33.82, 57
36.41, 90
37.71, 100
44.59, 18
62.20, 18
63.09, 24
63.34, 17

Structure:
```
16
Lattice="5.892 0.000 0.000 0.000 5.301 0.000 0.000 0.000 6.329" Properties=species:S:1:pos:R:3 pbc="T T T"
Er 0.060 1.325 1.037
Er 2.886 3.976 4.201
Er 3.006 1.325 2.127
Er 5.832 3.976 5.292
B 0.780 3.096 2.927
B 0.780 4.856 2.927
B 2.166 0.446 6.091
B 2.166 2.205 6.091
B 3.726 3.096 0.238
B 3.726 4.856 0.238
B 5.112 0.446 3.402
B 5.112 2.205 3.402
Ru 1.064 1.325 4.312
Ru 1.882 3.976 1.148
Ru 4.010 1.325 5.180
Ru 4.828 3.976 2.016
```

[5]
Calculated powder XRD pattern of Cs3LiCl4 for Cu Kα X-rays, from a DFT-relaxed cell (GGA-PBE, the Materials Project).
Lines closer than 0.1° are merged.

Top 8 peaks for 2θ = 5–70°, in order of rising 2θ:
2θ/deg, I (rel.)
10.90, 23
15.44, 14
21.90, 26
31.17, 50
31.29, 100
44.67, 17
55.54, 35
55.77, 18

Structure:
```
8
Lattice="8.115 0.000 0.000 0.000 8.115 0.000 0.000 0.000 4.028" Properties=species:S:1:pos:R:3 pbc="T T T"
Cs 0.000 0.000 0.000
Cs 0.000 4.058 0.000
Cs 4.058 0.000 0.000
Li 4.058 4.058 0.000
Cl 2.170 2.170 2.014
Cl 2.170 5.945 2.014
Cl 5.945 2.170 2.014
Cl 5.945 5.945 2.014
```

[6]
Calculated powder XRD pattern of CaCuP4O12 for Cu Kα X-rays, from a DFT-relaxed cell (GGA-PBE, the Materials Project).
Lines closer than 0.1° are merged.

Top 8 peaks for 2θ = 5–70°, in order of rising 2θ:
2θ/deg, I (rel.)
13.83, 51
18.37, 25
20.04, 32
24.47, 26
26.95, 21
28.18, 100
30.39, 23
33.44, 23

Structure:
```
36
Lattice="6.011 -4.386 0.000 6.011 4.386 0.000 -4.653 0.000 9.156" Properties=species:S:1:pos:R:3 pbc="T T T"
Ca 2.522 3.947 6.867
Ca 4.848 -3.947 2.289
Cu 0.679 2.193 4.578
Cu 3.006 -2.193 0.000
P 5.824 1.966 0.219
P 3.873 1.966 4.359
P -0.021 0.041 7.411
P 2.305 -0.041 2.833
P 5.065 0.041 6.323
P 7.391 -0.041 1.745
P 3.498 -1.966 4.797
P 1.546 -1.966 8.937
O 5.202 3.183 0.788
O 1.031 0.754 3.115
O 4.495 3.183 3.790
O 2.629 2.132 5.233
O 0.135 0.605 6.053
O 0.038 1.203 8.535
O -1.295 -0.754 7.693
O 2.415 2.132 8.501
O 3.565 0.904 3.186
O 2.461 -0.605 1.475
O 6.132 0.904 1.392
O 5.006 1.203 5.199
O 2.364 -1.203 3.957
O 1.239 -0.904 7.764
O 4.909 0.605 7.681
O 3.805 -0.904 5.970
O 4.955 -2.132 0.655
O 8.666 0.754 1.463
O 7.332 -1.203 0.621
O 7.235 -0.605 3.103
O 4.741 -2.132 3.923
O 2.876 -3.183 5.366
O 6.339 -0.754 6.041
O 2.168 -3.183 8.368
```